# CaCeP2Pt2
Calculated powder XRD pattern, Cu Ka. Input: DFT lattice parameters and positions (PBE).

Top 6 peaks for 2θ = 10–80°, in order of rising 2θ:
27.1°, d 3.287, intensity 882, (1 0 1); 33.4°, d 2.681, intensity 1000, (0 1 2); 42.1°, d 2.148, intensity 296, (0 1 3); 43.5°, d 2.080, intensity 573, (1 1 0); 56.0°, d 1.643, intensity 234, (2 0 2); 64.5°, d 1.444, intensity 352, (1 1 4)

Structural model:
a b c (Å): 4.1599 4.1599 8.0283
angles (deg): 90.00 90.00 120.00
Space group P-3m1 (No. 164)
Inequivalent atoms, fractional coordinates:
Ca 0.0000 0.0000 0.0000 [1 per cell]
Ce 0.0000 0.0000 0.5000 [1 per cell]
P 0.3333 0.6667 0.7393 [2 per cell]
Pt 0.3333 0.6667 0.2512 [2 per cell]